(1)
Starting from a DFT-relaxed cell (PBE, OQMD), the XRD peak list of Ho2FeSe4 was computed for Cu Kα.
Kinematic intensities with the Lorentz-polarization factor, no thermal factor.

a b c (Å): 8.0860 8.0860 8.0860
angles (deg): 60.00 60.00 60.00
Positions (direct):
Ho: 0.0000 0.0000 0.0000
Ho: 0.0000 0.0000 0.5000
Ho: 0.0000 0.5000 0.0000
Ho: 0.5000 0.0000 0.0000
Fe: 0.3750 0.3750 0.3750
Fe: 0.6250 0.6250 0.6250
Se: 0.2479 0.7507 0.7507
Se: 0.2493 0.2493 0.2493
Se: 0.2493 0.2493 0.7521
Se: 0.2493 0.7521 0.2493
Se: 0.7507 0.2479 0.7507
Se: 0.7507 0.7507 0.2479
Se: 0.7507 0.7507 0.7507
Se: 0.7521 0.2493 0.2493

Top 10 peaks for 10° ≤ 2θ ≤ 90°, sorted by position:
- 13.41°, d = 6.602 Å, I = 40
- 25.84°, d = 3.448 Å, I = 75
- 31.29°, d = 2.859 Å, I = 94
- 41.01°, d = 2.201 Å, I = 30
- 44.84°, d = 2.022 Å, I = 100
- 55.69°, d = 1.651 Å, I = 24
- 62.37°, d = 1.489 Å, I = 18
- 65.28°, d = 1.429 Å, I = 16
- 74.17°, d = 1.279 Å, I = 32
- 82.68°, d = 1.167 Å, I = 34

=====

(2)
Starting from a DFT-relaxed cell (PBE, OQMD), the XRD peak list of Ho2Fe3Si5 was computed for Cu Kα.
Kinematic intensities with the Lorentz-polarization factor, no thermal factor.

a b c (Å): 10.3301 10.3301 5.4485
angles (deg): 90.00 90.00 90.00
Positions (direct):
Ho: 0.0691 0.2365 0.0000
Ho: 0.2365 0.9309 0.0000
Ho: 0.2635 0.4309 0.5000
Ho: 0.4309 0.7365 0.5000
Ho: 0.5691 0.2635 0.5000
Ho: 0.7365 0.5691 0.5000
Ho: 0.7635 0.0691 0.0000
Ho: 0.9309 0.7635 0.0000
Fe: 0.0000 0.5000 0.2500
Fe: 0.0000 0.5000 0.7500
Fe: 0.1231 0.8556 0.5000
Fe: 0.1444 0.1231 0.5000
Fe: 0.3556 0.6231 0.0000
Fe: 0.3769 0.3556 0.0000
Fe: 0.5000 0.0000 0.2500
Fe: 0.5000 0.0000 0.7500
Fe: 0.6231 0.6444 0.0000
Fe: 0.6444 0.3769 0.0000
Fe: 0.8556 0.8769 0.5000
Fe: 0.8769 0.1444 0.5000
Si: 0.0000 0.0000 0.2659
Si: 0.0000 0.0000 0.7341
Si: 0.0221 0.3198 0.5000
Si: 0.1779 0.6779 0.2500
Si: 0.1779 0.6779 0.7500
Si: 0.1802 0.4779 0.0000
Si: 0.3198 0.9779 0.5000
Si: 0.3221 0.1779 0.2500
Si: 0.3221 0.1779 0.7500
Si: 0.4779 0.8198 0.0000
Si: 0.5000 0.5000 0.2341
Si: 0.5000 0.5000 0.7659
Si: 0.5221 0.1802 0.0000
Si: 0.6779 0.8221 0.2500
Si: 0.6779 0.8221 0.7500
Si: 0.6802 0.0221 0.5000
Si: 0.8198 0.5221 0.0000
Si: 0.8221 0.3221 0.2500
Si: 0.8221 0.3221 0.7500
Si: 0.9779 0.6802 0.5000

Top 10 peaks for 10° ≤ 2θ ≤ 90°, sorted by position:
- 25.28°, d = 3.524 Å, I = 34
- 31.94°, d = 2.802 Å, I = 100
- 32.88°, d = 2.724 Å, I = 28
- 35.84°, d = 2.505 Å, I = 34
- 38.36°, d = 2.347 Å, I = 29
- 38.99°, d = 2.310 Å, I = 26
- 39.59°, d = 2.276 Å, I = 53
- 41.35°, d = 2.184 Å, I = 58
- 54.46°, d = 1.685 Å, I = 27
- 58.11°, d = 1.587 Å, I = 18

=====

(3)
Starting from a DFT-relaxed cell (PBE, OQMD), the XRD peak list of Ho3FeTe5 was computed for Cu Kα.
Kinematic intensities with the Lorentz-polarization factor, no thermal factor.

a b c (Å): 8.5953 8.5953 3.7122
angles (deg): 90.00 90.00 120.00
Positions (direct):
Ho: 0.0000 0.6471 0.0000
Ho: 0.3529 0.3529 0.0000
Ho: 0.6471 0.0000 0.0000
Fe: 0.0000 0.0000 0.0000
Te: 0.0000 0.2210 0.5000
Te: 0.2210 0.0000 0.5000
Te: 0.3333 0.6667 0.5000
Te: 0.6667 0.3333 0.5000
Te: 0.7790 0.7790 0.5000

Top 10 peaks for 10° ≤ 2θ ≤ 90°, sorted by position:
- 20.67°, d = 4.298 Å, I = 10
- 31.84°, d = 2.810 Å, I = 100
- 34.11°, d = 2.628 Å, I = 16
- 36.20°, d = 2.481 Å, I = 31
- 40.22°, d = 2.242 Å, I = 24
- 42.05°, d = 2.149 Å, I = 11
- 49.08°, d = 1.856 Å, I = 10
- 59.64°, d = 1.550 Å, I = 16
- 62.40°, d = 1.488 Å, I = 24
- 62.49°, d = 1.486 Å, I = 12

=====

(4)
Starting from a DFT-relaxed cell (PBE, OQMD), the XRD peak list of Ho5FeTe3 was computed for Cu Kα.
Kinematic intensities with the Lorentz-polarization factor, no thermal factor.

a b c (Å): 8.4948 8.4948 3.7151
angles (deg): 90.00 90.00 120.00
Positions (direct):
Ho: 0.0000 0.2247 0.0000
Ho: 0.2247 0.0000 0.0000
Ho: 0.3333 0.6667 0.0000
Ho: 0.6667 0.3333 0.0000
Ho: 0.7753 0.7753 0.0000
Fe: 0.0000 0.0000 0.5000
Te: 0.0000 0.6129 0.5000
Te: 0.3871 0.3871 0.5000
Te: 0.6129 0.0000 0.5000

Top 10 peaks for 10° ≤ 2θ ≤ 90°, sorted by position:
- 32.01°, d = 2.796 Å, I = 100
- 32.19°, d = 2.781 Å, I = 83
- 34.31°, d = 2.614 Å, I = 56
- 36.65°, d = 2.452 Å, I = 35
- 40.52°, d = 2.226 Å, I = 55
- 49.04°, d = 1.858 Å, I = 19
- 57.40°, d = 1.605 Å, I = 15
- 59.88°, d = 1.545 Å, I = 29
- 60.23°, d = 1.537 Å, I = 24
- 63.09°, d = 1.474 Å, I = 28

=====

(5)
Starting from a DFT-relaxed cell (PBE, OQMD), the XRD peak list of FeI2 was computed for Cu Kα.
Kinematic intensities with the Lorentz-polarization factor, no thermal factor.

a b c (Å): 3.9106 6.8504 14.4859
angles (deg): 90.00 90.00 90.00
Positions (direct):
Fe: 0.0000 0.0165 0.0000
Fe: 0.0000 0.4106 0.5074
Fe: 0.5000 0.5894 0.0074
Fe: 0.5000 0.9835 0.5000
I: 0.0000 0.1022 0.6242
I: 0.0000 0.3955 0.1108
I: 0.0000 0.7080 0.8832
I: 0.0000 0.7890 0.3966
I: 0.5000 0.2110 0.8966
I: 0.5000 0.2920 0.3832
I: 0.5000 0.6045 0.6108
I: 0.5000 0.8978 0.1242

Top 10 peaks for 10° ≤ 2θ ≤ 90°, sorted by position:
- 12.22°, d = 7.243 Å, I = 47
- 24.58°, d = 3.621 Å, I = 32
- 26.74°, d = 3.333 Å, I = 23
- 28.83°, d = 3.096 Å, I = 28
- 29.04°, d = 3.075 Å, I = 100
- 32.04°, d = 2.794 Å, I = 27
- 32.22°, d = 2.778 Å, I = 38
- 40.95°, d = 2.204 Å, I = 30
- 46.02°, d = 1.972 Å, I = 30
- 46.46°, d = 1.955 Å, I = 28

=====

(6)
Starting from a DFT-relaxed cell (PBE, OQMD), the XRD peak list of Fe2I3 was computed for Cu Kα.
Kinematic intensities with the Lorentz-polarization factor, no thermal factor.

a b c (Å): 7.6503 7.6503 7.6503
angles (deg): 54.68 54.68 54.68
Positions (direct):
Fe: 0.1592 0.1592 0.1592
Fe: 0.3408 0.3408 0.3408
Fe: 0.6592 0.6592 0.6592
Fe: 0.8408 0.8408 0.8408
I: 0.0719 0.7500 0.4281
I: 0.2500 0.5719 0.9281
I: 0.4281 0.0719 0.7500
I: 0.5719 0.9281 0.2500
I: 0.7500 0.4281 0.0719
I: 0.9281 0.2500 0.5719

Top 10 peaks for 10° ≤ 2θ ≤ 90°, sorted by position:
- 27.50°, d = 3.243 Å, I = 12
- 28.90°, d = 3.089 Å, I = 100
- 37.75°, d = 2.383 Å, I = 42
- 44.68°, d = 2.028 Å, I = 34
- 49.50°, d = 1.841 Å, I = 22
- 53.27°, d = 1.720 Å, I = 11
- 54.09°, d = 1.696 Å, I = 16
- 59.88°, d = 1.545 Å, I = 10
- 72.68°, d = 1.301 Å, I = 13
- 74.99°, d = 1.267 Å, I = 13

=====

(7)
Starting from a DFT-relaxed cell (PBE, OQMD), the XRD peak list of NaLa6FeI12 was computed for Cu Kα.
Kinematic intensities with the Lorentz-polarization factor, no thermal factor.

a b c (Å): 10.1183 10.1183 10.1183
angles (deg): 107.12 107.12 107.12
Positions (direct):
Na: 0.0000 0.0000 0.0000
La: 0.1947 0.4696 0.3974
La: 0.3974 0.1947 0.4696
La: 0.4696 0.3974 0.1947
La: 0.5304 0.6026 0.8053
La: 0.6026 0.8053 0.5304
La: 0.8053 0.5304 0.6026
Fe: 0.5000 0.5000 0.5000
I: 0.0411 0.1205 0.3491
I: 0.1205 0.3491 0.0411
I: 0.1829 0.5753 0.7270
I: 0.2730 0.8171 0.4247
I: 0.3491 0.0411 0.1205
I: 0.4247 0.2730 0.8171
I: 0.5753 0.7270 0.1829
I: 0.6509 0.9589 0.8795
I: 0.7270 0.1829 0.5753
I: 0.8171 0.4247 0.2730
I: 0.8795 0.6509 0.9589
I: 0.9589 0.8795 0.6509

Top 10 peaks for 10° ≤ 2θ ≤ 90°, sorted by position:
- 10.06°, d = 8.789 Å, I = 18
- 24.10°, d = 3.693 Å, I = 18
- 27.79°, d = 3.210 Å, I = 100
- 39.49°, d = 2.282 Å, I = 36
- 39.93°, d = 2.258 Å, I = 36
- 49.35°, d = 1.847 Å, I = 20
- 57.42°, d = 1.605 Å, I = 15
- 64.66°, d = 1.442 Å, I = 14
- 65.28°, d = 1.429 Å, I = 14
- 72.22°, d = 1.308 Å, I = 10

=====

(8)
Starting from a DFT-relaxed cell (PBE, OQMD), the XRD peak list of FeSeI7 was computed for Cu Kα.
Kinematic intensities with the Lorentz-polarization factor, no thermal factor.

a b c (Å): 7.3286 7.2560 16.0687
angles (deg): 90.00 102.66 90.00
Positions (direct):
Fe: 0.0000 0.0019 0.0000
Fe: 0.0000 0.9981 0.5000
Se: 0.3043 0.4062 0.1623
Se: 0.3043 0.5938 0.6623
I: 0.1821 0.3890 0.7705
I: 0.1821 0.6110 0.2705
I: 0.3229 0.1200 0.9953
I: 0.3229 0.8800 0.4953
I: 0.5158 0.1591 0.2673
I: 0.5158 0.8409 0.7673
I: 0.5660 0.3975 0.6184
I: 0.5660 0.6025 0.1184
I: 0.7692 0.1448 0.8694
I: 0.7692 0.8552 0.3694
I: 0.9353 0.1262 0.1383
I: 0.9353 0.8738 0.6383
I: 0.9631 0.3434 0.4935
I: 0.9631 0.6566 0.9935

Top 10 peaks for 10° ≤ 2θ ≤ 90°, sorted by position:
- 22.25°, d = 3.995 Å, I = 98
- 23.37°, d = 3.807 Å, I = 39
- 25.20°, d = 3.535 Å, I = 89
- 26.27°, d = 3.392 Å, I = 100
- 26.44°, d = 3.371 Å, I = 46
- 27.27°, d = 3.271 Å, I = 77
- 27.88°, d = 3.200 Å, I = 38
- 31.06°, d = 2.879 Å, I = 86
- 34.80°, d = 2.578 Å, I = 40
- 49.51°, d = 1.841 Å, I = 47

=====

(9)
Starting from a DFT-relaxed cell (PBE, OQMD), the XRD peak list of In3Fe was computed for Cu Kα.
Kinematic intensities with the Lorentz-polarization factor, no thermal factor.

a b c (Å): 6.8954 6.8954 7.2102
angles (deg): 90.00 90.00 90.00
Positions (direct):
In: 0.0000 0.5000 0.0000
In: 0.0000 0.5000 0.5000
In: 0.1559 0.1559 0.2388
In: 0.1559 0.1559 0.7612
In: 0.3441 0.6559 0.2612
In: 0.3441 0.6559 0.7388
In: 0.5000 0.0000 0.0000
In: 0.5000 0.0000 0.5000
In: 0.6559 0.3441 0.2612
In: 0.6559 0.3441 0.7388
In: 0.8441 0.8441 0.2388
In: 0.8441 0.8441 0.7612
Fe: 0.1533 0.8467 0.0000
Fe: 0.3467 0.3467 0.5000
Fe: 0.6533 0.6533 0.5000
Fe: 0.8467 0.1533 0.0000

Top 10 peaks for 10° ≤ 2θ ≤ 90°, sorted by position:
- 28.95°, d = 3.084 Å, I = 39
- 30.85°, d = 2.899 Å, I = 52
- 36.05°, d = 2.492 Å, I = 41
- 38.41°, d = 2.343 Å, I = 100
- 41.41°, d = 2.181 Å, I = 62
- 50.64°, d = 1.803 Å, I = 18
- 59.42°, d = 1.556 Å, I = 24
- 62.71°, d = 1.482 Å, I = 19
- 67.41°, d = 1.389 Å, I = 27
- 79.42°, d = 1.207 Å, I = 18

=====

(10)
Starting from a DFT-relaxed cell (PBE, OQMD), the XRD peak list of LuInFeS3 was computed for Cu Kα.
Kinematic intensities with the Lorentz-polarization factor, no thermal factor.

a b c (Å): 7.3020 7.3020 10.1910
angles (deg): 90.00 90.00 149.26
Positions (direct):
Lu: 0.0000 0.0000 0.0000
Lu: 0.0000 0.0000 0.5000
In: 0.2503 0.7497 0.7500
In: 0.7497 0.2503 0.2500
Fe: 0.4668 0.5332 0.2500
Fe: 0.5332 0.4668 0.7500
S: 0.0615 0.9385 0.2500
S: 0.3765 0.6235 0.0642
S: 0.3765 0.6235 0.4358
S: 0.6235 0.3765 0.5642
S: 0.6235 0.3765 0.9358
S: 0.9385 0.0615 0.7500

Top 10 peaks for 10° ≤ 2θ ≤ 90°, sorted by position:
- 12.57°, d = 7.041 Å, I = 74
- 21.53°, d = 4.128 Å, I = 100
- 25.30°, d = 3.520 Å, I = 52
- 29.67°, d = 3.011 Å, I = 57
- 31.21°, d = 2.866 Å, I = 74
- 34.82°, d = 2.576 Å, I = 77
- 35.23°, d = 2.548 Å, I = 47
- 43.53°, d = 2.079 Å, I = 44
- 43.87°, d = 2.064 Å, I = 39
- 46.93°, d = 1.936 Å, I = 39

=====

(11)
Starting from a DFT-relaxed cell (PBE, OQMD), the XRD peak list of LuInFeS3 was computed for Cu Kα.
Kinematic intensities with the Lorentz-polarization factor, no thermal factor.

a b c (Å): 14.5248 3.8192 10.4320
angles (deg): 90.00 90.00 90.00
Positions (direct):
Lu: 0.0177 0.2500 0.1585
Lu: 0.4823 0.7500 0.6585
Lu: 0.5177 0.2500 0.3415
Lu: 0.9823 0.7500 0.8415
In: 0.2446 0.2500 0.4644
In: 0.2554 0.7500 0.9644
In: 0.7446 0.2500 0.0356
In: 0.7554 0.7500 0.5356
Fe: 0.0115 0.7500 0.4153
Fe: 0.4885 0.2500 0.9153
Fe: 0.5115 0.7500 0.0847
Fe: 0.9885 0.2500 0.5847
S: 0.0804 0.7500 0.6159
S: 0.0959 0.2500 0.9289
S: 0.1240 0.7500 0.2596
S: 0.3760 0.2500 0.7596
S: 0.4041 0.7500 0.4289
S: 0.4196 0.2500 0.1159
S: 0.5804 0.7500 0.8841
S: 0.5959 0.2500 0.5711
S: 0.6240 0.7500 0.2404
S: 0.8760 0.2500 0.7404
S: 0.9041 0.7500 0.0711
S: 0.9196 0.2500 0.3841

Top 10 peaks for 10° ≤ 2θ ≤ 90°, sorted by position:
- 12.19°, d = 7.262 Å, I = 100
- 20.97°, d = 4.237 Å, I = 51
- 24.51°, d = 3.631 Å, I = 62
- 29.64°, d = 3.014 Å, I = 60
- 31.03°, d = 2.882 Å, I = 95
- 34.50°, d = 2.600 Å, I = 68
- 35.17°, d = 2.552 Å, I = 40
- 36.61°, d = 2.455 Å, I = 38
- 42.77°, d = 2.114 Å, I = 45
- 51.47°, d = 1.775 Å, I = 55

=====

(12)
Starting from a DFT-relaxed cell (PBE, OQMD), the XRD peak list of Lu2Sc2In5Fe2 was computed for Cu Kα.
Kinematic intensities with the Lorentz-polarization factor, no thermal factor.

a b c (Å): 7.6071 3.4285 9.2372
angles (deg): 90.00 96.01 90.00
Positions (direct):
Lu: 0.2188 0.0000 0.4316
Lu: 0.7812 0.0000 0.5684
Sc: 0.1816 0.0000 0.8347
Sc: 0.8184 0.0000 0.1653
In: 0.1497 0.5000 0.1351
In: 0.4476 0.5000 0.6740
In: 0.5000 0.5000 0.0000
In: 0.5524 0.5000 0.3260
In: 0.8503 0.5000 0.8649
Fe: 0.0664 0.5000 0.6204
Fe: 0.9336 0.5000 0.3796

Top 10 peaks for 10° ≤ 2θ ≤ 90°, sorted by position:
- 32.67°, d = 2.741 Å, I = 100
- 34.01°, d = 2.636 Å, I = 80
- 35.33°, d = 2.540 Å, I = 95
- 35.45°, d = 2.532 Å, I = 85
- 35.60°, d = 2.522 Å, I = 49
- 35.74°, d = 2.512 Å, I = 51
- 37.39°, d = 2.405 Å, I = 56
- 39.29°, d = 2.293 Å, I = 58
- 39.80°, d = 2.265 Å, I = 46
- 40.35°, d = 2.235 Å, I = 45

=====

Question: What is the formula in the fourth record?
Answer: Ho5FeTe3